Record 1
For MnV5P6O24, the PBE+U geometry in Alexandria gives the theoretical X-ray diffraction stick pattern in this record (Cu Kα, 1.54184 Å).
Peak positions follow from Bragg's law for the DFT cell and can differ from measured ones.

Structural model:
```
36
Lattice="4.3305 2.5002 6.9509 -4.3305 2.5002 6.9509 0.0000 -5.0005 6.9509" Properties=species:S:1:pos:R:3 pbc="T T T"
Mn 0.0000 0.0000 0.0000
V 0.0000 0.0000 3.0166
V 0.0000 0.0000 6.0399
V 0.0000 0.0000 10.4606
V 0.0000 0.0000 13.4754
V 0.0000 0.0000 16.5130
P -2.5412 -0.0183 8.3092
P -1.7446 -2.5137 11.7258
P 1.2864 -2.1916 8.3092
P -1.3046 2.7677 11.7258
P 1.2548 2.2098 8.3092
P 3.0492 -0.2541 11.7258
O -2.6715 -2.4631 10.4798
O -0.6511 -1.3364 4.5350
O -3.4062 1.2395 8.5717
O -1.7090 -0.0010 7.0367
O -2.4886 -2.5522 13.0235
O -0.8318 1.2321 4.5350
O 0.6297 -3.5697 8.5717
O -1.6368 -0.1638 9.5527
O 0.8554 -1.4796 7.0367
O -0.7899 -1.2647 11.8025
O 1.4829 0.1043 4.5350
O 0.9603 -1.3356 9.5526
O 0.8537 1.4806 7.0367
O -1.4889 0.0989 15.1318
O -0.7003 1.3164 11.8025
O 0.6765 1.4994 9.5526
O -0.7973 3.5451 10.4798
O 0.6588 -1.3388 15.1318
O 1.4902 -0.0517 11.8025
O -0.9659 3.4313 13.0235
O 3.4688 -1.0821 10.4798
O 2.7766 2.3301 8.5717
O 0.8301 1.2399 15.1318
O 3.4546 -0.8791 13.0235
```

Principal peaks in the range 2θ = 10–90°, most intense first:
2θ (°), Rel. int.
24.21, 100.0
20.51, 61.4
33.05, 58.8
35.92, 31.7
47.38, 23.8
49.60, 23.3
56.20, 18.5
62.75, 16.8
31.86, 14.7
25.24, 13.1

Record 2
For Mn3VP6O24, the PBE+U geometry in Alexandria gives the theoretical X-ray diffraction stick pattern in this record (Cu Kα, 1.54184 Å).
Peak positions follow from Bragg's law for the DFT cell and can differ from measured ones.

Structural model:
```
34
Lattice="4.1369 2.3885 7.2585 -4.1369 2.3885 7.2585 0.0000 -4.7769 7.2585" Properties=species:S:1:pos:R:3 pbc="T T T"
Mn 0.0000 0.0000 0.0000
Mn 0.0000 0.0000 4.6325
Mn 0.0000 0.0000 11.0265
V 0.0000 0.0000 15.6641
P -2.9655 0.3885 9.6512
P -1.1868 -2.0414 13.2390
P 1.1464 -2.7625 9.6512
P -1.1745 2.0485 13.2390
P 1.8192 2.3740 9.6512
P 2.3613 -0.0071 13.2390
O -1.4616 0.5778 3.5383
O -1.2734 -0.9609 5.7416
O -3.2892 1.0523 8.3055
O 0.2304 -1.5547 3.5383
O -2.6221 -2.5817 13.3618
O 0.7333 -3.3746 8.3055
O -1.4710 0.6107 9.9045
O -1.2411 -0.9882 12.0992
O -0.1955 1.5832 5.7416
O 0.2066 -1.5793 9.9045
O 1.2312 0.9769 3.5383
O 1.4689 -0.6223 5.7416
O -0.7494 -1.3460 14.5566
O -1.5158 0.1046 16.7436
O -0.2353 1.5690 12.0992
O -0.7910 1.3220 14.5566
O 1.2643 0.9686 9.9045
O 1.4764 -0.5807 12.0992
O -0.9248 3.5616 13.3618
O 0.6673 -1.3650 16.7436
O 2.5559 2.3223 8.3055
O 1.5404 0.0240 14.5566
O 0.8485 1.2604 16.7436
O 3.5469 -0.9799 13.3618
```

Principal peaks in the range 2θ = 10–90°, most intense first:
2θ (°), Rel. int.
24.77, 100.0
20.49, 67.7
14.80, 60.3
29.85, 54.7
32.83, 43.4
21.48, 27.1
54.04, 15.3
33.34, 15.0
37.08, 12.9
58.68, 12.9

Record 3
For MnVP2O8, the PBE+U geometry in Alexandria gives the theoretical X-ray diffraction stick pattern in this record (Cu Kα, 1.54184 Å).
Peak positions follow from Bragg's law for the DFT cell and can differ from measured ones.

Structural model:
```
24
Lattice="4.8977 0.0000 0.0000 0.0000 5.9264 0.0000 -0.2554 0.0000 10.0755" Properties=species:S:1:pos:R:3 pbc="T T T"
Mn 0.1911 1.4816 2.2616
Mn 4.4512 4.4448 7.8140
V 1.9713 1.4816 7.2106
V 2.6710 4.4448 2.8650
P 0.5868 4.4448 1.0545
P 1.9048 4.4448 5.8960
P 2.7375 1.4816 4.1795
P 4.0554 1.4816 9.0210
O 0.5009 4.4448 9.6371
O 0.6544 1.4816 8.6334
O 1.2407 1.4816 4.0398
O 1.2249 3.2091 6.6413
O 1.2249 5.6805 6.6413
O 1.3567 3.2712 1.7856
O 1.3567 5.6184 1.7856
O 1.4635 4.4448 4.4130
O 3.1788 1.4816 5.6626
O 3.2856 0.3080 8.2900
O 3.2856 2.6552 8.2900
O 3.4173 0.2459 3.4342
O 3.4173 2.7173 3.4342
O 3.4016 4.4448 6.0357
O 3.9878 4.4448 1.4422
O 4.1414 1.4816 0.4385
```

Principal peaks in the range 2θ = 10–90°, most intense first:
2θ (°), Rel. int.
30.16, 100.0
17.60, 82.1
19.96, 76.3
25.03, 74.9
35.43, 62.4
36.14, 55.8
20.37, 52.7
25.36, 35.4
23.17, 30.4
36.43, 26.5

Record 4
For Mn5VP6O24, the PBE+U geometry in Alexandria gives the theoretical X-ray diffraction stick pattern in this record (Cu Kα, 1.54184 Å).
Peak positions follow from Bragg's law for the DFT cell and can differ from measured ones.

Structural model:
```
36
Lattice="4.3046 2.4853 7.0355 -4.3046 2.4853 7.0355 0.0000 -4.9705 7.0355" Properties=species:S:1:pos:R:3 pbc="T T T"
Mn 0.0000 0.0000 0.0000
Mn 0.0000 0.0000 3.0322
Mn 0.0000 0.0000 6.0671
Mn 0.0000 0.0000 13.5792
Mn 0.0000 0.0000 16.6374
V 0.0000 0.0000 10.5393
P -1.2480 -2.1446 8.2914
P -3.0480 -0.2810 11.8441
P -1.2333 2.1531 8.2914
P 1.7674 -2.4992 11.8441
P 2.4813 -0.0085 8.2914
P 1.2806 2.7802 11.8441
O -3.5302 -0.9233 10.5523
O -1.4572 0.1110 4.7640
O -0.5712 -3.5283 8.4644
O -0.7605 -1.4175 7.0236
O -3.3452 -1.0392 13.1282
O 0.6325 -1.3174 4.7640
O -2.7700 2.2588 8.4644
O -0.8892 -1.3595 9.5743
O -0.8473 1.3674 7.0236
O -1.4890 -0.0616 11.8674
O 0.8247 1.2065 4.7639
O -0.7328 1.4499 9.5744
O 1.6079 0.0501 7.0236
O -0.5848 -1.4209 15.1724
O 0.7979 -1.2586 11.8674
O 2.5647 -2.5956 10.5523
O 1.6220 -0.0903 9.5744
O -0.9381 1.2170 15.1724
O 0.6911 1.3203 11.8674
O 2.5726 -2.3774 13.1282
O 0.9655 3.5189 10.5523
O 3.3412 1.2695 8.4643
O 1.5230 0.2040 15.1724
O 0.7726 3.4166 13.1282
```

Principal peaks in the range 2θ = 10–90°, most intense first:
2θ (°), Rel. int.
24.24, 100.0
20.63, 87.0
32.88, 73.6
56.56, 37.7
36.14, 37.2
47.19, 28.8
49.66, 27.6
62.93, 24.6
32.04, 16.6
25.34, 14.7